Record 1
Simulated powder XRD pattern of SbPO5 for Cu Ka, from DFT lattice parameters and positions (GGA-PBE).
No peak broadening, texture or thermal motion is included.

Structural model:
```
data_SbPO5
_symmetry_space_group_name_H-M 'F d d 2'
_symmetry_Int_Tables_number 43
_symmetry_space_group_name_Hall 'F 2 -2d'
_cell_length_a 11.909
_cell_length_b 16.694
_cell_length_c 7.158
_cell_angle_alpha 90.00
_cell_angle_beta 90.00
_cell_angle_gamma 90.00
loop_
_atom_site_label
_atom_site_type_symbol
_atom_site_fract_x
_atom_site_fract_y
_atom_site_fract_z
Sb1 Sb 0.123 0.376 0.000
P1 P 0.000 0.215 0.125
O1 O 0.003 0.076 0.625
O2 O 0.010 0.340 0.798
O3 O 0.014 0.161 0.951
O4 O 0.105 0.271 0.143
O5 O 0.107 0.232 0.610
```

Most intense lines, 2θ from 10° to 90°, low angle first:
2θ 15.39, d = 5.758 Å, rel. 100; 2θ 18.30, d = 4.847 Å, rel. 16; 2θ 21.29, d = 4.174 Å, rel. 28; 2θ 21.56, d = 4.122 Å, rel. 20; 2θ 26.22, d = 3.399 Å, rel. 29; 2θ 30.35, d = 2.945 Å, rel. 43; 2θ 30.48, d = 2.933 Å, rel. 35; 2θ 31.06, d = 2.879 Å, rel. 61; 2θ 43.93, d = 2.061 Å, rel. 27; 2θ 53.96, d = 1.699 Å, rel. 16

---

Record 2
Simulated powder XRD pattern of IClO for Cu Ka, from DFT lattice parameters and positions (GGA-PBE).
No peak broadening, texture or thermal motion is included.

Structural model:
```
data_IClO
_symmetry_space_group_name_H-M 'R -3'
_symmetry_Int_Tables_number 148
_symmetry_space_group_name_Hall '-R 3'
_cell_length_a 15.8792
_cell_length_b 15.8792
_cell_length_c 6.7967
_cell_angle_alpha 90.00
_cell_angle_beta 90.00
_cell_angle_gamma 120.00
loop_
_atom_site_label
_atom_site_type_symbol
_atom_site_fract_x
_atom_site_fract_y
_atom_site_fract_z
I1 I 0.0621 0.6012 0.1850
Cl1 Cl 0.0679 0.8863 0.8061
O1 O 0.0218 0.4241 0.1120
```

Most intense lines, 2θ from 10° to 90°, low angle first:
2θ 11.14, d = 7.940 Å, rel. 68; 2θ 14.54, d = 6.093 Å, rel. 38; 2θ 18.35, d = 4.834 Å, rel. 26; 2θ 21.52, d = 4.129 Å, rel. 86; 2θ 26.80, d = 3.326 Å, rel. 100; 2θ 29.77, d = 3.001 Å, rel. 70; 2θ 31.26, d = 2.862 Å, rel. 27; 2θ 35.38, d = 2.537 Å, rel. 39; 2θ 49.65, d = 1.836 Å, rel. 32; 2θ 50.47, d = 1.808 Å, rel. 33

---

Record 3
Simulated powder XRD pattern of SmZnGe for Cu Ka, from DFT lattice parameters and positions (GGA-PBE).
No peak broadening, texture or thermal motion is included.

Structural model:
```
data_SmZnGe
_symmetry_space_group_name_H-M 'P 63/m m c'
_symmetry_Int_Tables_number 194
_symmetry_space_group_name_Hall '-P 6c 2c'
_cell_length_a 4.2857
_cell_length_b 4.2857
_cell_length_c 16.1601
_cell_angle_alpha 90.00
_cell_angle_beta 90.00
_cell_angle_gamma 120.00
loop_
_atom_site_label
_atom_site_type_symbol
_atom_site_fract_x
_atom_site_fract_y
_atom_site_fract_z
Sm1 Sm 0.0000 0.0000 0.0000
Sm2 Sm 0.0000 0.0000 0.2500
Zn1 Zn 0.3333 0.6667 0.1425
Ge1 Ge 0.3333 0.6667 0.6154
```

Most intense lines, 2θ from 10° to 90°, low angle first:
2θ 23.98, d = 3.712 Å, rel. 13; 2θ 32.77, d = 2.733 Å, rel. 100; 2θ 42.17, d = 2.143 Å, rel. 46; 2θ 44.87, d = 2.020 Å, rel. 10; 2θ 51.51, d = 1.774 Å, rel. 5; 2θ 54.41, d = 1.686 Å, rel. 23; 2θ 63.27, d = 1.470 Å, rel. 21; 2θ 71.14, d = 1.325 Å, rel. 21; 2θ 75.03, d = 1.266 Å, rel. 7; 2θ 77.09, d = 1.237 Å, rel. 8

---

Record 4
Simulated powder XRD pattern of Cr2As for Cu Ka, from DFT lattice parameters and positions (GGA-PBE).
No peak broadening, texture or thermal motion is included.

Structural model:
```
data_Cr2As
_symmetry_space_group_name_H-M 'P 4/n m m'
_symmetry_Int_Tables_number 129
_cell_length_a 3.561
_cell_length_b 3.561
_cell_length_c 6.326
_cell_angle_alpha 90.00
_cell_angle_beta 90.00
_cell_angle_gamma 90.00
loop_
_symmetry_equiv_pos_as_xyz
'x,y,z'
'-x,-y,-z'
'-y+1/2,x,z'
'y+1/2,-x,-z'
'-x+1/2,-y+1/2,z'
'x+1/2,y+1/2,-z'
'y,-x+1/2,z'
'-y,x+1/2,-z'
'x+1/2,-y,-z'
'-x+1/2,y,z'
'-y,-x,-z'
'y,x,z'
'-x,y+1/2,-z'
'x,-y+1/2,z'
'y+1/2,x+1/2,-z'
'-y+1/2,-x+1/2,z'
loop_
_atom_site_label
_atom_site_type_symbol
_atom_site_fract_x
_atom_site_fract_y
_atom_site_fract_z
Cr1 Cr 0.250 0.250 0.167
Cr2 Cr 0.250 0.750 0.500
As1 As 0.250 0.250 0.781
```

Most intense lines, 2θ from 10° to 90°, low angle first:
2θ 28.77, d = 3.103 Å, rel. 14; 2θ 35.66, d = 2.518 Å, rel. 28; 2θ 38.48, d = 2.339 Å, rel. 68; 2θ 42.89, d = 2.109 Å, rel. 30; 2θ 46.08, d = 1.970 Å, rel. 100; 2θ 50.29, d = 1.814 Å, rel. 14; 2θ 51.32, d = 1.780 Å, rel. 52; 2θ 69.04, d = 1.360 Å, rel. 26; 2θ 75.52, d = 1.259 Å, rel. 15; 2θ 85.99, d = 1.130 Å, rel. 13